Entry 1:
# TbPrNdMg
Calculated X-ray diffraction stick pattern, Cu Kα, 1.54184 Å. Input: DFT lattice parameters and positions (PBE).

Peak list (10 most intense, 2θ = 10–80°, sorted by position)
| 2theta | intensity | (hkl) |
| --- | --- | --- |
| 25.89 | 19.1 | 1 0 1 |
| 30.91 | 100.0 | 1 0 2 |
| 34.20 | 40.2 | 1 1 0 |
| 38.95 | 11.4 | 0 0 4 |
| 45.41 | 9.4 | 1 1 3 |
| 49.15 | 14.5 | 2 0 0 |
| 52.79 | 19.0 | 1 1 4 |
| 55.52 | 8.7 | 1 0 5 |
| 59.20 | 31.4 | 2 1 2 |
| 64.42 | 10.4 | 2 0 4 |

Structure:
```
data_TbPrNdMg
_chemical_formula_sum 'Tb1 Pr1 Nd1 Mg1'
_symmetry_space_group_name_H-M 'P 4 m m'
_symmetry_Int_Tables_number 99
_symmetry_space_group_name_Hall 'P 4 -2'
_cell_length_a 3.708
_cell_length_b 3.708
_cell_length_c 9.248
_cell_angle_alpha 90.00
_cell_angle_beta 90.00
_cell_angle_gamma 90.00
loop_
_atom_site_label
_atom_site_type_symbol
_atom_site_fract_x
_atom_site_fract_y
_atom_site_fract_z
Tb1 Tb 0.000 0.000 0.000
Pr1 Pr 0.000 0.000 0.544
Nd1 Nd 0.500 0.500 0.265
Mg1 Mg 0.500 0.500 0.780
```


Entry 2:
# Sm2Al5Au4
Calculated X-ray diffraction stick pattern, Cu Kα, 1.54184 Å. Input: DFT lattice parameters and positions (PBE).

Peak list (10 most intense, 2θ = 10–80°, sorted by position)
| 2theta | intensity | (hkl) |
| --- | --- | --- |
| 20.56 | 100.0 | 0 0 4 |
| 32.61 | 40.0 | 2 0 0 |
| 33.25 | 81.3 | 1 3 1 |
| 36.44 | 72.9 | 1 3 3 |
| 38.86 | 62.9 | 2 0 4 |
| 41.82 | 23.0 | 0 0 8 |
| 42.21 | 42.3 | 1 3 5 |
| 49.82 | 26.0 | 1 3 7 |
| 58.79 | 16.8 | 0 6 0 |
| 60.72 | 16.8 | 3 3 3 |

Structure:
```
data_Sm2Al5Au4
_chemical_formula_sum 'Sm8 Al20 Au16'
_symmetry_space_group_name_H-M 'F m m m'
_symmetry_Int_Tables_number 69
_symmetry_space_group_name_Hall '-F 2 2'
_cell_length_a 5.492
_cell_length_b 9.429
_cell_length_c 17.280
_cell_angle_alpha 90.00
_cell_angle_beta 90.00
_cell_angle_gamma 90.00
loop_
_atom_site_label
_atom_site_type_symbol
_atom_site_fract_x
_atom_site_fract_y
_atom_site_fract_z
Sm1 Sm 0.000 0.000 0.108
Al1 Al 0.000 0.000 0.500
Al2 Al 0.250 0.250 0.000
Al3 Al 0.250 0.250 0.250
Au1 Au 0.000 0.163 0.368
```


Entry 3:
# Sr2CaRh
Calculated X-ray diffraction stick pattern, Cu Kα, 1.54184 Å. Input: DFT lattice parameters and positions (PBE).

Peak list (10 most intense, 2θ = 10–80°, sorted by position)
| 2theta | intensity | (hkl) |
| --- | --- | --- |
| 10.84 | 50.7 | 0 0 2 |
| 18.96 | 99.1 | 0 1 1 |
| 29.39 | 71.1 | 1 0 3 |
| 32.45 | 89.4 | 1 1 2 |
| 32.93 | 52.3 | 0 0 6 |
| 36.79 | 37.9 | 0 2 0 |
| 37.78 | 100.0 | 1 1 4 |
| 47.76 | 37.0 | 1 2 3 |
| 50.19 | 26.4 | 0 2 6 |
| 63.50 | 26.5 | 2 2 0 |

Structure:
```
data_Sr2CaRh
_chemical_formula_sum 'Sr4 Ca2 Rh2'
_symmetry_space_group_name_H-M 'I m m m'
_symmetry_Int_Tables_number 71
_symmetry_space_group_name_Hall '-I 2 2'
_cell_length_a 3.664
_cell_length_b 4.887
_cell_length_c 16.323
_cell_angle_alpha 90.00
_cell_angle_beta 90.00
_cell_angle_gamma 90.00
loop_
_atom_site_label
_atom_site_type_symbol
_atom_site_fract_x
_atom_site_fract_y
_atom_site_fract_z
Sr1 Sr 0.000 0.000 0.155
Ca1 Ca 0.000 0.500 0.000
Rh1 Rh 0.000 0.500 0.500
```


Entry 4:
# Mn3NiPd12
Calculated X-ray diffraction stick pattern, Cu Kα, 1.54184 Å. Input: DFT lattice parameters and positions (PBE).

Peak list (9 most intense, 2θ = 10–80°, sorted by position)
| 2theta | intensity | (hkl) |
| --- | --- | --- |
| 22.71 | 5.5 | 1 0 0 |
| 32.34 | 4.5 | 1 1 0 |
| 39.88 | 100.0 | 1 1 4 |
| 46.38 | 48.1 | 2 0 0 |
| 52.24 | 2.5 | 2 1 0 |
| 57.67 | 1.8 | 2 1 4 |
| 67.69 | 29.8 | 2 2 0 |
| 72.41 | 1.2 | 3 0 0 |
| 77.02 | 0.8 | 3 1 0 |

Structure:
```
data_Mn3NiPd12
_chemical_formula_sum 'Mn3 Ni1 Pd12'
_symmetry_space_group_name_H-M 'P 4/m m m'
_symmetry_Int_Tables_number 123
_symmetry_space_group_name_Hall '-P 4 2'
_cell_length_a 3.915
_cell_length_b 3.915
_cell_length_c 15.660
_cell_angle_alpha 90.00
_cell_angle_beta 90.00
_cell_angle_gamma 90.00
loop_
_atom_site_label
_atom_site_type_symbol
_atom_site_fract_x
_atom_site_fract_y
_atom_site_fract_z
Mn1 Mn 0.000 0.000 0.000
Mn2 Mn 0.000 0.000 0.252
Ni1 Ni 0.000 0.000 0.500
Pd1 Pd 0.000 0.500 0.126
Pd2 Pd 0.000 0.500 0.378
Pd3 Pd 0.500 0.500 0.000
Pd4 Pd 0.500 0.500 0.252
Pd5 Pd 0.500 0.500 0.500
```